This entry pairs a crystal structure of Dy2AuO4F with its calculated powder diffractogram. Radiation: Cu Kα X-rays. Structure: the PBE geometry in Alexandria.
Kinematic intensities with the Lorentz-polarization factor, no thermal factor.

Structure:
Lattice parameters (Å, degrees): 10.347 3.407 6.381 90.00 114.23 90.00
Space group C2/m (No. 12)
Unique sites:
Dy (0.186, 0.000, 0.207) (multiplicity 4)
Au (0.000, 0.000, 0.500) (multiplicity 2)
O (0.141, 0.500, 0.434) (multiplicity 4)
O (0.169, 0.000, 0.817) (multiplicity 4)
F (0.000, 0.500, 0.000) (multiplicity 2)

Top 6 peaks for 5° ≤ 2θ ≤ 70°, sorted by position:
- 27.84°, 3.205 Å, I = 80, (1 1 0)
- 28.69°, 3.112 Å, I = 100, (2 0 -2)
- 28.84°, 3.095 Å, I = 83, (2 0 1)
- 33.76°, 2.655 Å, I = 91, (1 1 1)
- 37.28°, 2.412 Å, I = 87, (3 1 -1)
- 41.96°, 2.153 Å, I = 56, (3 1 -2)

=====

This entry pairs a crystal structure of Dy2Ga12Au with its calculated powder diffractogram. Radiation: Cu Kα X-rays. Structure: the PBE geometry in Alexandria.
Kinematic intensities with the Lorentz-polarization factor, no thermal factor.

Structure:
Lattice parameters (Å, degrees): 6.192 6.192 15.336 90.00 90.00 90.00
Space group P4/nbm (No. 125, origin choice 2)
Unique sites:
Dy (0.250, 0.750, 0.249) (multiplicity 4)
Ga (0.000, 0.000, 0.096) (multiplicity 8)
Ga (0.084, 0.584, 0.431) (multiplicity 8)
Ga (0.250, 0.250, 0.189) (multiplicity 4)
Ga (0.250, 0.250, 0.348) (multiplicity 4)
Au (0.250, 0.750, 0.000) (multiplicity 2)

Top 6 peaks for 5° ≤ 2θ ≤ 70°, sorted by position:
- 5.76°, 15.336 Å, I = 54, (0 0 1)
- 31.00°, 2.885 Å, I = 100, (1 1 4)
- 31.15°, 2.871 Å, I = 60, (2 0 2)
- 37.33°, 2.409 Å, I = 69, (2 0 4)
- 41.23°, 2.189 Å, I = 86, (2 2 0)
- 52.47°, 1.744 Å, I = 52, (3 1 4)

=====

This entry pairs a crystal structure of DyGaAu4 with its calculated powder diffractogram. Radiation: Cu Kα X-rays. Structure: the PBE geometry in Alexandria.
Kinematic intensities with the Lorentz-polarization factor, no thermal factor.

Structure:
Lattice parameters (Å, degrees): 3.682 3.729 8.813 82.79 89.94 89.99
Space group P-1 (No. 2)
Unique sites:
Dy (0.000, 0.000, 0.000) (multiplicity 1)
Ga (0.500, 0.500, 0.500) (multiplicity 1)
Au (0.001, 0.083, 0.656) (multiplicity 2)
Au (0.499, 0.448, 0.178) (multiplicity 2)

Top 6 peaks for 5° ≤ 2θ ≤ 70°, sorted by position:
- 34.36°, 2.610 Å, I = 100, (1 -1 0)
- 36.79°, 2.443 Å, I = 51, (0 1 3)
- 39.43°, 2.285 Å, I = 77, (1 0 3)
- 41.79°, 2.161 Å, I = 25, (0 1 -3)
- 49.51°, 1.841 Å, I = 21, (2 0 0)
- 63.25°, 1.470 Å, I = 19, (-2 1 3)

=====

This entry pairs a crystal structure of Dy8Ga2Au with its calculated powder diffractogram. Radiation: Cu Kα X-rays. Structure: the PBE geometry in Alexandria.
Kinematic intensities with the Lorentz-polarization factor, no thermal factor.

Structure:
Lattice parameters (Å, degrees): 18.526 4.978 6.652 90.00 101.76 90.00
Space group C2/m (No. 12)
Unique sites:
Dy (0.025, 0.000, 0.271) (multiplicity 4)
Dy (0.092, 0.500, 0.963) (multiplicity 4)
Dy (0.158, 0.500, 0.478) (multiplicity 4)
Dy (0.208, 0.000, 0.819) (multiplicity 4)
Ga (0.189, 0.000, 0.257) (multiplicity 4)
Au (0.000, 0.500, 0.500) (multiplicity 2)

Top 6 peaks for 5° ≤ 2θ ≤ 70°, sorted by position:
- 30.49°, 2.932 Å, I = 46, (5 1 0)
- 31.33°, 2.855 Å, I = 59, (5 1 -1)
- 32.38°, 2.765 Å, I = 100, (1 1 -2)
- 34.09°, 2.630 Å, I = 57, (1 1 2)
- 36.08°, 2.489 Å, I = 78, (0 2 0)
- 39.15°, 2.301 Å, I = 37, (7 1 -1)

=====

This entry pairs a crystal structure of Dy2Ga3Au5 with its calculated powder diffractogram. Radiation: Cu Kα X-rays. Structure: the PBE geometry in Alexandria.
Kinematic intensities with the Lorentz-polarization factor, no thermal factor.

Structure:
Lattice parameters (Å, degrees): 4.491 24.705 7.125 90.00 90.00 90.00
Space group Cmc2_1 (No. 36)
Unique sites:
Dy (0.000, 0.019, 0.000) (multiplicity 4)
Dy (0.000, 0.325, 0.007) (multiplicity 4)
Ga (0.000, 0.103, 0.684) (multiplicity 4)
Ga (0.000, 0.273, 0.534) (multiplicity 4)
Ga (0.000, 0.449, 0.808) (multiplicity 4)
Au (0.000, 0.105, 0.306) (multiplicity 4)
Au (0.000, 0.200, 0.821) (multiplicity 4)
Au (0.000, 0.215, 0.233) (multiplicity 4)
Au (0.000, 0.381, 0.515) (multiplicity 4)
Au (0.000, 0.450, 0.194) (multiplicity 4)

Top 6 peaks for 5° ≤ 2θ ≤ 70°, sorted by position:
- 33.91°, 2.643 Å, I = 100, (1 3 2)
- 34.69°, 2.586 Å, I = 61, (1 7 1)
- 38.43°, 2.342 Å, I = 24, (1 9 0)
- 38.58°, 2.334 Å, I = 28, (0 10 1)
- 40.16°, 2.246 Å, I = 47, (2 0 0)
- 40.70°, 2.217 Å, I = 25, (0 4 3)

=====

This entry pairs a crystal structure of DyGa3Au3 with its calculated powder diffractogram. Radiation: Cu Kα X-rays. Structure: the PBE geometry in Alexandria.
Kinematic intensities with the Lorentz-polarization factor, no thermal factor.

Structure:
Lattice parameters (Å, degrees): 8.173 8.173 8.174 90.00 90.19 90.00
Space group P2_1 (No. 4)
Unique sites:
Dy (0.045, 0.000, 0.205) (multiplicity 2)
Dy (0.454, 0.910, 0.705) (multiplicity 2)
Ga (0.135, 0.821, 0.884) (multiplicity 2)
Ga (0.169, 0.287, 0.581) (multiplicity 2)
Ga (0.191, 0.647, 0.442) (multiplicity 2)
Ga (0.309, 0.264, 0.941) (multiplicity 2)
Ga (0.332, 0.624, 0.082) (multiplicity 2)
Ga (0.366, 0.090, 0.385) (multiplicity 2)
Au (0.009, 0.144, 0.861) (multiplicity 2)
Au (0.110, 0.946, 0.562) (multiplicity 2)
Au (0.189, 0.344, 0.240) (multiplicity 2)
Au (0.311, 0.566, 0.741) (multiplicity 2)
Au (0.389, 0.965, 0.061) (multiplicity 2)
Au (0.490, 0.766, 0.361) (multiplicity 2)

Top 6 peaks for 5° ≤ 2θ ≤ 70°, sorted by position:
- 26.72°, 3.337 Å, I = 48, (1 2 -1)
- 34.71°, 2.585 Å, I = 100, (3 1 0)
- 36.46°, 2.464 Å, I = 37, (1 1 -3)
- 39.75°, 2.268 Å, I = 50, (3 2 0)
- 41.32°, 2.185 Å, I = 48, (3 1 -2)
- 45.75°, 1.983 Å, I = 23, (2 2 -3)

=====

This entry pairs a crystal structure of Dy3Ga9Au2 with its calculated powder diffractogram. Radiation: Cu Kα X-rays. Structure: the PBE geometry in Alexandria.
Kinematic intensities with the Lorentz-polarization factor, no thermal factor.

Structure:
Lattice parameters (Å, degrees): 4.248 10.264 12.359 90.00 90.00 90.00
Space group Immm (No. 71)
Unique sites:
Dy (0.000, 0.000, 0.000) (multiplicity 2)
Dy (0.000, 0.000, 0.320) (multiplicity 4)
Ga (0.000, 0.275, 0.140) (multiplicity 8)
Ga (0.000, 0.378, 0.335) (multiplicity 8)
Ga (0.000, 0.500, 0.000) (multiplicity 2)
Au (0.000, 0.216, 0.500) (multiplicity 4)

Top 6 peaks for 5° ≤ 2θ ≤ 70°, sorted by position:
- 34.06°, 2.632 Å, I = 18, (0 3 3)
- 35.01°, 2.563 Å, I = 100, (1 2 3)
- 36.73°, 2.447 Å, I = 13, (1 3 2)
- 42.57°, 2.124 Å, I = 23, (2 0 0)
- 43.96°, 2.060 Å, I = 16, (0 0 6)
- 62.81°, 1.479 Å, I = 21, (2 0 6)

=====

This entry pairs a crystal structure of Dy3Ga3Au with its calculated powder diffractogram. Radiation: Cu Kα X-rays. Structure: the PBE geometry in Alexandria.
Kinematic intensities with the Lorentz-polarization factor, no thermal factor.

Structure:
Lattice parameters (Å, degrees): 10.731 4.404 14.307 90.00 109.94 90.00
Space group C2/m (No. 12)
Unique sites:
Dy (0.036, 0.000, 0.380) (multiplicity 4)
Dy (0.105, 0.000, 0.925) (multiplicity 4)
Dy (0.237, 0.000, 0.226) (multiplicity 4)
Ga (0.023, 0.500, 0.226) (multiplicity 4)
Ga (0.110, 0.500, 0.075) (multiplicity 4)
Ga (0.128, 0.500, 0.540) (multiplicity 4)
Au (0.247, 0.500, 0.387) (multiplicity 4)

Top 6 peaks for 5° ≤ 2θ ≤ 70°, sorted by position:
- 6.57°, 13.450 Å, I = 46, (0 0 1)
- 31.79°, 2.815 Å, I = 100, (1 1 3)
- 32.27°, 2.774 Å, I = 90, (1 1 -4)
- 32.53°, 2.753 Å, I = 50, (3 1 -2)
- 39.52°, 2.281 Å, I = 85, (3 1 2)
- 40.99°, 2.202 Å, I = 66, (0 2 0)

=====

This entry pairs a crystal structure of DyGa6Au12 with its calculated powder diffractogram. Radiation: Cu Kα X-rays. Structure: the PBE geometry in Alexandria.
Kinematic intensities with the Lorentz-polarization factor, no thermal factor.

Structure:
Lattice parameters (Å, degrees): 12.1367 12.1367 8.7080 90.00 90.00 120.00
Space group R-3m (No. 166, hexagonal axes)
Unique sites:
Dy (0.0000, 0.0000, 0.0000) (multiplicity 3)
Ga (0.0601, 0.5301, 0.2459) (multiplicity 18)
Au (0.0000, 0.3809, 0.5000) (multiplicity 18)
Au (0.0808, 0.1616, 0.2852) (multiplicity 18)

Top 6 peaks for 5° ≤ 2θ ≤ 70°, sorted by position:
- 22.10°, 4.023 Å, I = 35, (0 1 2)
- 32.39°, 2.764 Å, I = 100, (1 3 1)
- 34.24°, 2.619 Å, I = 48, (1 1 3)
- 38.75°, 2.324 Å, I = 39, (3 2 1)
- 40.35°, 2.235 Å, I = 52, (0 3 3)
- 48.06°, 1.893 Å, I = 47, (5 0 2)

=====

This entry pairs a crystal structure of DyMgGa2Au4 with its calculated powder diffractogram. Radiation: Cu Kα X-rays. Structure: the PBE geometry in Alexandria.
Kinematic intensities with the Lorentz-polarization factor, no thermal factor.

Structure:
Lattice parameters (Å, degrees): 4.5790 4.5790 25.3214 90.00 90.00 120.00
Space group R-3m (No. 166, hexagonal axes)
Unique sites:
Dy (0.0000, 0.0000, 0.0000) (multiplicity 3)
Mg (0.0000, 0.0000, 0.5000) (multiplicity 3)
Ga (0.0000, 0.0000, 0.2480) (multiplicity 6)
Au (0.0000, 0.0000, 0.1311) (multiplicity 6)
Au (0.0000, 0.0000, 0.3905) (multiplicity 6)

Top 6 peaks for 5° ≤ 2θ ≤ 70°, sorted by position:
- 26.52°, 3.361 Å, I = 39, (1 0 4)
- 33.53°, 2.672 Å, I = 22, (1 0 7)
- 36.32°, 2.474 Å, I = 97, (0 1 8)
- 39.35°, 2.290 Å, I = 100, (1 1 0)
- 54.62°, 1.680 Å, I = 30, (2 0 8)
- 69.37°, 1.355 Å, I = 29, (1 2 8)

=====

This entry pairs a crystal structure of DyTmGaAu with its calculated powder diffractogram. Radiation: Cu Kα X-rays. Structure: the PBE geometry in Alexandria.
Kinematic intensities with the Lorentz-polarization factor, no thermal factor.

Structure:
Lattice parameters (Å, degrees): 4.498 3.757 11.103 90.00 90.00 90.00
Space group Amm2 (No. 38)
Unique sites:
Dy (0.000, 0.000, 0.000) (multiplicity 2)
Tm (0.500, 0.000, 0.289) (multiplicity 2)
Ga (0.500, 0.000, 0.565) (multiplicity 2)
Au (0.000, 0.000, 0.727) (multiplicity 2)

Top 6 peaks for 5° ≤ 2θ ≤ 70°, sorted by position:
- 32.07°, 2.791 Å, I = 100, (1 1 1)
- 32.25°, 2.776 Å, I = 27, (0 0 4)
- 34.00°, 2.637 Å, I = 28, (0 1 3)
- 38.10°, 2.362 Å, I = 30, (1 0 4)
- 39.62°, 2.275 Å, I = 56, (1 1 3)
- 40.10°, 2.249 Å, I = 30, (2 0 0)

=====

This entry pairs a crystal structure of Dy3Ge2Au with its calculated powder diffractogram. Radiation: Cu Kα X-rays. Structure: the PBE geometry in Alexandria.
Kinematic intensities with the Lorentz-polarization factor, no thermal factor.

Structure:
Lattice parameters (Å, degrees): 11.613 4.322 11.496 90.00 90.00 90.00
Space group Pnma (No. 62)
Unique sites:
Dy (0.053, 0.250, 0.124) (multiplicity 4)
Dy (0.126, 0.750, 0.565) (multiplicity 4)
Dy (0.211, 0.250, 0.811) (multiplicity 4)
Ge (0.008, 0.750, 0.309) (multiplicity 4)
Ge (0.184, 0.750, 0.009) (multiplicity 4)
Au (0.132, 0.250, 0.368) (multiplicity 4)

Top 6 peaks for 5° ≤ 2θ ≤ 70°, sorted by position:
- 30.10°, 2.969 Å, I = 34, (2 1 2)
- 31.18°, 2.868 Å, I = 78, (0 1 3)
- 32.07°, 2.791 Å, I = 33, (1 0 4)
- 34.81°, 2.577 Å, I = 100, (3 1 2)
- 38.15°, 2.359 Å, I = 38, (4 1 1)
- 41.80°, 2.161 Å, I = 46, (0 2 0)

=====

Copy entry 3 word for word.
This entry pairs a crystal structure of DyGaAu4 with its calculated powder diffractogram. Radiation: Cu Kα X-rays. Structure: the PBE geometry in Alexandria.
Kinematic intensities with the Lorentz-polarization factor, no thermal factor.

Structure:
Lattice parameters (Å, degrees): 3.682 3.729 8.813 82.79 89.94 89.99
Space group P-1 (No. 2)
Unique sites:
Dy (0.000, 0.000, 0.000) (multiplicity 1)
Ga (0.500, 0.500, 0.500) (multiplicity 1)
Au (0.001, 0.083, 0.656) (multiplicity 2)
Au (0.499, 0.448, 0.178) (multiplicity 2)

Top 6 peaks for 5° ≤ 2θ ≤ 70°, sorted by position:
- 34.36°, 2.610 Å, I = 100, (1 -1 0)
- 36.79°, 2.443 Å, I = 51, (0 1 3)
- 39.43°, 2.285 Å, I = 77, (1 0 3)
- 41.79°, 2.161 Å, I = 25, (0 1 -3)
- 49.51°, 1.841 Å, I = 21, (2 0 0)
- 63.25°, 1.470 Å, I = 19, (-2 1 3)